Diffraction record for Ba2ScTi. The PXRD pattern is computed, not measured: it uses a crystal structure in Alexandria, relaxed with PBE and Cu Kα X-rays.
Peak positions follow from Bragg's law for the DFT cell and can differ from measured ones.

```
4
Lattice="0.000 4.110 4.110 4.110 0.000 4.110 4.110 4.110 0.000" Properties=species:S:1:pos:R:3 pbc="T T T"
Ba 2.055 2.055 2.055
Ba 6.165 6.165 6.165
Sc 0.000 0.000 0.000
Ti 4.110 4.110 4.110
```

Top 10 peaks for 10 to 90 degrees two-theta, low angle first:
21.62°, intensity 27
30.76°, intensity 100
37.91°, intensity 9
44.06°, intensity 18
49.59°, intensity 12
54.70°, intensity 37
64.08°, intensity 12
68.48°, intensity 6
72.76°, intensity 16
89.14°, intensity 19